No. 1
Calculated powder diffractogram
Compound: ErPuCdO6
Radiation: λ = 1.5418 Å (Cu Kα)
Structure: the PBE geometry in Alexandria
Lines closer than 0.1° are merged.

Most intense lines, 15° ≤ 2θ ≤ 90°, most intense first:
- 2θ 26.11, rel. 100
- 2θ 31.42, rel. 65
- 2θ 50.16, rel. 51
- 2θ 36.85, rel. 33
- 2θ 18.77, rel. 31
- 2θ 41.29, rel. 29
- 2θ 52.79, rel. 29
- 2θ 55.93, rel. 20
- 2θ 17.99, rel. 15
- 2θ 78.41, rel. 13
- 2θ 69.67, rel. 13
- 2θ 71.85, rel. 12

Cell and atoms:
```
9
Lattice="5.695 0.000 0.000 -2.847 4.932 0.000 0.000 0.000 4.728" Properties=species:S:1:pos:R:3 pbc="T T T"
Er 0.000 0.000 0.000
Pu 0.000 3.288 0.000
Cd 2.847 1.644 2.364
O -0.824 1.785 1.073
O -1.714 3.326 3.655
O 0.824 1.785 3.655
O -0.890 4.753 1.073
O 1.714 3.326 1.073
O 0.890 4.753 3.655
```



No. 2
Calculated powder diffractogram
Compound: CsHg5H6
Radiation: λ = 1.5418 Å (Cu Kα)
Structure: the PBE geometry in Alexandria
Lines closer than 0.1° are merged.

Most intense lines, 15° ≤ 2θ ≤ 90°, most intense first:
- 2θ 29.74, rel. 100
- 2θ 26.73, rel. 100
- 2θ 25.96, rel. 93
- 2θ 27.80, rel. 65
- 2θ 33.56, rel. 45
- 2θ 18.23, rel. 44
- 2θ 27.47, rel. 35
- 2θ 42.11, rel. 35
- 2θ 28.50, rel. 34
- 2θ 52.06, rel. 26
- 2θ 41.01, rel. 26
- 2θ 46.05, rel. 25

Cell and atoms:
```
12
Lattice="5.362 0.000 0.000 -2.529 7.363 0.000 -2.157 -3.124 6.865" Properties=species:S:1:pos:R:3 pbc="T T T"
Cs 0.000 0.000 0.000
Hg -1.928 4.923 3.614
Hg -0.200 4.280 0.527
Hg 0.338 2.119 3.432
Hg 0.876 -0.041 6.338
Hg 2.604 -0.684 3.251
H -1.372 0.295 2.938
H -0.495 -0.920 5.803
H 0.711 2.307 1.801
H -0.035 1.931 5.064
H 1.171 5.159 1.062
H 2.048 3.944 3.926
```



No. 3
Calculated powder diffractogram
Compound: RbMo2H
Radiation: λ = 1.5418 Å (Cu Kα)
Structure: the PBE geometry in Alexandria
Lines closer than 0.1° are merged.

Most intense lines, 15° ≤ 2θ ≤ 90°, most intense first:
- 2θ 35.38, rel. 100
- 2θ 37.01, rel. 45
- 2θ 56.86, rel. 33
- 2θ 62.44, rel. 29
- 2θ 30.04, rel. 24
- 2θ 89.46, rel. 22
- 2θ 74.86, rel. 16
- 2θ 73.86, rel. 11
- 2θ 18.26, rel. 11
- 2θ 53.34, rel. 9
- 2θ 43.00, rel. 7
- 2θ 86.57, rel. 5

Cell and atoms:
```
8
Lattice="0.000 4.207 4.207 4.207 0.000 4.207 4.207 4.207 0.000" Properties=species:S:1:pos:R:3 pbc="T T T"
Rb 1.052 1.052 1.052
Rb 7.362 7.362 7.362
Mo 4.207 2.103 2.103
Mo 2.103 4.207 2.103
Mo 2.103 2.103 4.207
Mo 4.207 4.207 4.207
H 3.155 3.155 3.155
H 5.259 5.259 5.259
```